Structure and calculated powder diffractogram of HfBeSiOs (a crystal structure in OQMD, relaxed with GGA-PBE; Cu Ka).
Lines closer than 0.1° are merged.

Atomic structure:
Lattice parameters (Å, degrees): 6.049 6.049 6.049 90.00 90.00 90.00
Space group F-43m (No. 216)
Symmetry-distinct sites (fractional):
Hf: 0.000 0.000 0.000
Be: 0.250 0.250 0.750
Si: 0.250 0.250 0.250
Os: 0.000 0.000 0.500

Most intense lines, 2θ from 10° to 90°, low angle first:
d [Å], Rel. int., index
3.493, 1.0, 1 1 1
3.025, 88.5, 2 0 0
2.139, 100.0, 2 2 0
1.746, 24.8, 2 2 2
1.512, 16.8, 4 0 0
1.353, 32.1, 4 2 0
1.235, 34.7, 4 2 2